(1)
Diffraction record for AcSm6Dy. The powder XRD pattern is simulated, not measured: it uses a PBE-relaxed structure and Cu Kα X-rays.
Lines closer than 0.1° are merged.

```
AcSm6Dy
1.0
5.1768 0.0000 0.0000
0.0000 5.1768 0.0000
0.0000 0.0000 10.3505
Ac Sm Dy
1 6 1
direct
0.0000 0.0000 0.0000
0.0000 0.5000 0.2578
0.0000 0.5000 0.7422
0.5000 0.0000 0.2578
0.5000 0.0000 0.7422
0.5000 0.5000 0.0000
0.5000 0.5000 0.5000
0.0000 0.0000 0.5000
```

Main lines, by angle (10° ≤ 2θ ≤ 90°):
2theta  d_spacing  I/Imax
17.13  5.176  1.1
24.32  3.660  1.0
25.82  3.451  1.2
29.90  2.989  100.0
34.66  2.588  50.7
49.83  1.830  36.4
59.20  1.561  43.3
62.12  1.494  12.5
73.13  1.294  5.8
73.80  1.284  0.7
80.96  1.188  17.5
83.53  1.157  16.3

***

(2)
Diffraction record for Li5BiSe4. The powder XRD pattern is simulated, not measured: it uses a PBE-relaxed structure and Cu Kα X-rays.
Lines closer than 0.1° are merged.

```
Li5BiSe4
1.0
8.2887 0.0000 0.0000
0.0000 9.4459 0.0000
0.0000 0.0000 6.0872
Li Bi Se
10 2 8
direct
0.0184 0.0357 0.2467
0.0184 0.4643 0.2467
0.2500 0.7500 0.2336
0.4816 0.0357 0.2467
0.4816 0.4643 0.2467
0.5184 0.5357 0.7533
0.5184 0.9643 0.7533
0.7500 0.2500 0.7664
0.9816 0.5357 0.7533
0.9816 0.9643 0.7533
0.2500 0.2500 0.8083
0.7500 0.7500 0.1917
0.0027 0.7500 0.4823
0.2500 0.5353 0.9800
0.2500 0.9647 0.9800
0.4973 0.7500 0.4823
0.5027 0.2500 0.5177
0.7500 0.0353 0.0200
0.7500 0.4647 0.0200
0.9973 0.2500 0.5177
```

Main lines, by angle (10° ≤ 2θ ≤ 90°):
2theta  d_spacing  I/Imax
14.22  6.230  66.1
17.33  5.117  70.4
18.08  4.906  62.5
18.79  4.723  29.4
23.85  3.731  43.1
26.01  3.426  100.0
26.19  3.403  36.6
27.70  3.221  35.5
30.37  2.943  38.1
33.82  2.651  29.7
41.48  2.177  83.0
46.72  1.944  29.1

***

(3)
Diffraction record for PuMgCl4. The powder XRD pattern is simulated, not measured: it uses a PBE-relaxed structure and Cu Kα X-rays.
Lines closer than 0.1° are merged.

```
PuMgCl4
1.0
6.5722 0.0000 0.0000
0.0000 3.7038 0.0000
-0.7548 0.0000 7.1009
Pu Mg Cl
1 1 4
direct
0.0000 0.0000 0.0000
0.0000 0.5000 0.5000
0.2100 0.0000 0.3712
0.2336 0.5000 0.8070
0.7664 0.5000 0.1930
0.7900 0.0000 0.6288
```

Main lines, by angle (10° ≤ 2θ ≤ 90°):
2theta  d_spacing  I/Imax
12.47  7.101  44.5
13.55  6.535  100.0
17.44  5.084  21.2
19.41  4.574  24.4
27.15  3.284  15.8
27.68  3.222  21.8
29.86  2.992  76.7
35.01  2.563  16.7
36.67  2.450  18.3
37.88  2.375  26.8
45.48  1.994  16.6
51.47  1.775  18.9

***

(4)
Diffraction record for Y3Lu. The powder XRD pattern is simulated, not measured: it uses a PBE-relaxed structure and Cu Kα X-rays.
Lines closer than 0.1° are merged.

```
Y3Lu
1.0
5.0122 0.0000 0.0000
0.0000 5.0122 0.0000
0.0000 0.0000 5.0122
Y Lu
3 1
direct
0.0000 0.0000 0.5000
0.0000 0.5000 0.0000
0.5000 0.0000 0.0000
0.5000 0.5000 0.5000
```

Main lines, by angle (10° ≤ 2θ ≤ 90°):
2theta  d_spacing  I/Imax
17.70  5.012  9.2
25.13  3.544  8.3
30.90  2.894  100.0
35.83  2.506  50.2
40.23  2.242  5.1
44.27  2.046  4.0
51.57  1.772  35.0
61.34  1.511  41.2
64.39  1.447  11.8
75.94  1.253  5.4
84.20  1.150  16.8
86.92  1.121  15.7

***

(5)
Diffraction record for YNpSe2. The powder XRD pattern is simulated, not measured: it uses a PBE-relaxed structure and Cu Kα X-rays.
Lines closer than 0.1° are merged.

```
YNpSe2
1.0
4.0929 0.0000 0.0000
-2.0465 3.5446 0.0000
0.0000 0.0000 20.0685
Y Np Se
3 3 6
direct
0.0000 0.0000 0.0000
0.3333 0.6667 0.6667
0.6667 0.3333 0.3333
0.0000 0.0000 0.5000
0.3333 0.6667 0.1667
0.6667 0.3333 0.8333
0.0000 0.0000 0.2506
0.0000 0.0000 0.7494
0.3333 0.6667 0.4161
0.3333 0.6667 0.9172
0.6667 0.3333 0.0828
0.6667 0.3333 0.5839
```

Main lines, by angle (10° ≤ 2θ ≤ 90°):
2theta  d_spacing  I/Imax
13.24  6.690  18.3
25.52  3.491  13.3
26.67  3.343  21.5
30.89  2.895  100.0
33.74  2.657  7.0
44.25  2.047  74.5
46.40  1.957  5.7
52.41  1.746  10.9
54.93  1.671  26.3
64.36  1.447  12.2
73.09  1.295  33.8
81.43  1.182  25.5

***

(6)
Diffraction record for Pu3AsO3. The powder XRD pattern is simulated, not measured: it uses a PBE-relaxed structure and Cu Kα X-rays.
Lines closer than 0.1° are merged.

```
Pu3AsO3
1.0
3.3596 1.9397 6.8933
-3.3596 1.9397 6.8933
0.0000 -3.8793 6.8933
Pu As O
6 2 6
direct
0.0550 0.4058 0.7501
0.2499 0.9450 0.5942
0.4058 0.7501 0.0550
0.5942 0.2499 0.9450
0.7501 0.0550 0.4058
0.9450 0.5942 0.2499
0.1665 0.1665 0.1665
0.8335 0.8335 0.8335
0.0572 0.6994 0.3709
0.3006 0.6291 0.9428
0.3709 0.0572 0.6994
0.6291 0.9428 0.3006
0.6994 0.3709 0.0572
0.9428 0.3006 0.6291
```

Main lines, by angle (10° ≤ 2θ ≤ 90°):
2theta  d_spacing  I/Imax
25.85  3.447  20.3
26.53  3.360  17.0
29.58  3.020  100.0
37.38  2.406  33.3
39.21  2.298  8.0
46.84  1.940  28.3
47.97  1.897  20.5
54.27  1.690  15.9
56.38  1.632  16.7
60.37  1.533  10.7
62.68  1.482  11.7
76.24  1.249  13.5

***

(7)
Diffraction record for DyCu3As3. The powder XRD pattern is simulated, not measured: it uses a PBE-relaxed structure and Cu Kα X-rays.
Lines closer than 0.1° are merged.

```
DyCu3As3
1.0
6.5840 0.0000 0.0000
0.0000 6.5840 0.0000
0.0000 0.0000 6.5840
Dy Cu As
2 6 6
direct
0.0000 0.0000 0.0000
0.5000 0.5000 0.5000
0.0000 0.2500 0.5000
0.0000 0.7500 0.5000
0.2500 0.5000 0.0000
0.5000 0.0000 0.2500
0.5000 0.0000 0.7500
0.7500 0.5000 0.0000
0.0000 0.5000 0.2500
0.0000 0.5000 0.7500
0.2500 0.0000 0.5000
0.5000 0.2500 0.0000
0.5000 0.7500 0.0000
0.7500 0.0000 0.5000
```

Main lines, by angle (10° ≤ 2θ ≤ 90°):
2theta  d_spacing  I/Imax
27.09  3.292  43.0
33.33  2.688  100.0
47.86  1.901  9.7
51.97  1.760  56.0
55.86  1.646  21.2
63.15  1.472  15.4
66.62  1.404  13.0
79.78  1.202  15.6
82.96  1.164  13.2
89.26  1.097  7.6

***

(8)
Diffraction record for Li3AlB2O6. The powder XRD pattern is simulated, not measured: it uses a PBE-relaxed structure and Cu Kα X-rays.
Lines closer than 0.1° are merged.

```
Li3AlB2O6
1.0
5.2763 0.0000 0.0000
-0.0122 6.8425 0.0000
-0.1217 -2.6372 7.8085
Li Al B O
6 2 4 12
direct
0.0446 0.3025 0.3029
0.2445 0.3800 0.7649
0.3151 0.5981 0.1194
0.6849 0.4019 0.8806
0.7555 0.6200 0.2351
0.9554 0.6975 0.6971
0.4268 0.9963 0.7320
0.5732 0.0037 0.2680
0.2379 0.7429 0.4178
0.4106 0.2295 0.0705
0.5894 0.7705 0.9295
0.7621 0.2571 0.5822
0.0861 0.5916 0.3141
0.2010 0.8308 0.5924
0.2746 0.1656 0.9140
0.3405 0.1432 0.1973
0.4057 0.6234 0.8999
0.4477 0.8090 0.3444
0.5523 0.1910 0.6556
0.5943 0.3766 0.1001
0.6595 0.8568 0.8027
0.7254 0.8344 0.0860
0.7990 0.1692 0.4076
0.9139 0.4084 0.6859
```

Main lines, by angle (10° ≤ 2θ ≤ 90°):
2theta  d_spacing  I/Imax
13.66  6.483  38.4
16.81  5.276  100.0
21.64  4.106  41.9
22.33  3.981  28.2
22.47  3.957  72.4
22.78  3.904  23.0
26.38  3.379  21.9
29.66  3.012  33.1
31.27  2.861  47.4
34.58  2.594  33.8
35.05  2.560  24.4
43.40  2.085  25.4

***

(9)
Diffraction record for Li2CaAcAu2. The powder XRD pattern is simulated, not measured: it uses a PBE-relaxed structure and Cu Kα X-rays.
Lines closer than 0.1° are merged.

```
Li2CaAcAu2
1.0
4.6377 0.0000 0.0000
-2.3188 4.0163 0.0000
0.0000 0.0000 7.7961
Li Ca Ac Au
2 1 1 2
direct
0.3333 0.6667 0.2987
0.6667 0.3333 0.7013
0.0000 0.0000 0.5000
0.0000 0.0000 0.0000
0.3333 0.6667 0.7340
0.6667 0.3333 0.2660
```

Main lines, by angle (10° ≤ 2θ ≤ 90°):
2theta  d_spacing  I/Imax
11.35  7.796  11.0
24.94  3.570  100.0
32.00  2.797  77.9
38.84  2.319  48.0
41.38  2.182  21.2
46.71  1.945  19.4
51.17  1.785  21.1
62.26  1.491  38.4
64.06  1.454  8.6
66.05  1.415  19.7
72.05  1.311  8.6
88.67  1.103  15.6

***

(10)
Diffraction record for KNiI. The powder XRD pattern is simulated, not measured: it uses a PBE-relaxed structure and Cu Kα X-rays.
Lines closer than 0.1° are merged.

```
KNiI
1.0
5.2219 0.0000 0.0000
0.0000 10.0569 0.0000
0.0000 0.0000 7.4347
K Ni I
4 4 4
direct
0.0000 0.0000 0.0000
0.0000 0.5000 0.0000
0.5000 0.0000 0.5000
0.5000 0.5000 0.5000
0.2500 0.2500 0.2500
0.2500 0.7500 0.7500
0.7500 0.2500 0.2500
0.7500 0.7500 0.7500
0.0000 0.2500 0.5261
0.0000 0.7500 0.4739
0.5000 0.2500 0.9739
0.5000 0.7500 0.0261
```

Main lines, by angle (10° ≤ 2θ ≤ 90°):
2theta  d_spacing  I/Imax
14.82  5.978  16.4
17.64  5.028  58.9
20.79  4.273  24.0
27.39  3.256  100.0
35.71  2.514  24.1
37.37  2.406  12.3
42.30  2.137  27.7
44.29  2.045  21.8
46.16  1.966  18.0
56.52  1.628  22.6
57.37  1.606  11.6
59.20  1.561  13.6

***

(11)
Diffraction record for BaGa3Ir. The powder XRD pattern is simulated, not measured: it uses a PBE-relaxed structure and Cu Kα X-rays.
Lines closer than 0.1° are merged.

```
BaGa3Ir
1.0
-3.1804 4.9004 3.6795
3.1804 -4.9004 3.6795
3.1804 4.9004 -3.6795
Ba Ga Ir
2 6 2
direct
0.3405 0.0905 0.2500
0.6595 0.9095 0.7500
0.1723 0.4223 0.7500
0.2006 0.0000 0.7006
0.2006 0.5000 0.2006
0.7994 0.0000 0.2994
0.7994 0.5000 0.7994
0.8277 0.5777 0.2500
0.0000 0.5000 0.5000
0.5000 0.5000 0.0000
```

Main lines, by angle (10° ≤ 2θ ≤ 90°):
2theta  d_spacing  I/Imax
18.44  4.812  41.4
25.95  3.433  100.0
28.06  3.180  22.8
29.49  3.029  43.2
36.68  2.450  36.1
37.37  2.406  65.8
39.52  2.281  19.5
41.82  2.160  23.2
46.80  1.941  22.3
48.38  1.881  18.7
53.18  1.722  22.4
53.37  1.717  27.9